The following is a calculated powder diffractogram of Mn2TlZnF. It was derived from DFT lattice parameters and positions (PBE+U), using Cu Kα X-rays.

Cell and atoms:
```
Mn2TlZnF
1.0
5.4846 0.0000 0.0000
0.0000 5.4846 0.0000
0.0000 0.0000 4.8367
Mn Tl Zn F
2 1 1 1
Direct
0.0000 0.5000 0.0000
0.5000 0.0000 0.0000
0.0000 0.0000 0.0000
0.5000 0.5000 0.5000
0.0000 0.0000 0.5000
```

Top 12 peaks for 2θ = 10–90°, in order of falling intensity:
- 24.54 deg, rel. 100.0, (1 0 1)
- 32.65 deg, rel. 63.5, (2 0 0)
- 41.27 deg, rel. 52.2, (2 1 1)
- 16.16 deg, rel. 46.0, (1 0 0)
- 18.34 deg, rel. 39.1, (0 0 1)
- 50.30 deg, rel. 36.4, (2 0 2)
- 22.93 deg, rel. 29.3, (1 1 0)
- 37.71 deg, rel. 25.6, (2 0 1)
- 46.85 deg, rel. 22.6, (2 2 0)
- 37.18 deg, rel. 22.2, (0 0 2)
- 61.27 deg, rel. 19.6, (2 2 2)
- 64.18 deg, rel. 14.5, (3 2 1)